Structure and calculated X-ray powder pattern of NiClF2 (a cell relaxed with GGA+U; Cu Kα X-rays).

The 6 most intense peaks (5 to 70 degrees two-theta), by angle:
(hkl)	2θ/deg	I (rel.)
0 0 1	10.9	100
0 0 2	21.9	70
1 -1 1	34.3	12
1 1 -1	35.9	23
0 2 2	38.6	19
1 -1 2	39.4	13

Atomic structure:
Cell lengths 3.2213, 5.3050, 8.1936 Å; angles 83.56, 85.60, 89.95 degrees
Space group P1 (No. 1)
Symmetry-distinct sites (fractional):
Ni 0.0000 0.0000 0.0000 [1 per cell]
Ni 0.5002 0.4996 0.0013 [1 per cell]
Cl 0.6644 0.9239 0.5193 [1 per cell]
Cl 0.8501 0.5755 0.4822 [1 per cell]
F 0.0237 0.6833 0.8833 [1 per cell]
F 0.4770 0.8161 0.1180 [1 per cell]
F 0.5230 0.1859 0.8817 [1 per cell]
F 0.9776 0.3135 0.1196 [1 per cell]